This entry pairs a crystal structure of Er3Ge2H with its calculated XRD peak list. Radiation: Cu Kα (λ = 1.5418 Å). Structure: a DFT-relaxed cell (GGA-PBE, Alexandria).

Atomic structure:
Lattice parameters (Å, degrees): 6.914 6.914 8.020 106.80 106.80 48.61
Fractional positions:
Er 0.034 0.966 0.750
Er 0.330 0.335 0.416
Er 0.335 0.330 0.916
Er 0.665 0.670 0.084
Er 0.670 0.665 0.584
Er 0.966 0.034 0.250
Ge 0.161 0.167 0.082
Ge 0.167 0.161 0.582
Ge 0.833 0.839 0.418
Ge 0.839 0.833 0.918
H 0.453 0.547 0.750
H 0.547 0.453 0.250

Peak list (10 most intense, 10° ≤ 2θ ≤ 90°, by angle)
2θ/deg	intensity
27.20	40
27.33	40
31.44	49
31.66	100
45.22	90
45.54	18
56.11	19
56.39	18
74.69	14
83.50	17

***

This entry pairs a crystal structure of AcTb3NdDy with its calculated XRD peak list. Radiation: Cu Kα (λ = 1.5418 Å). Structure: a DFT-relaxed cell (GGA-PBE, Alexandria).

Atomic structure:
Lattice parameters (Å, degrees): 7.097 5.769 9.994 90.00 90.03 90.00
Fractional positions:
Ac 0.001 0.250 0.253
Ac 0.999 0.750 0.747
Tb 0.257 0.750 0.084
Tb 0.258 0.250 0.583
Tb 0.259 0.750 0.416
Tb 0.741 0.250 0.584
Tb 0.742 0.750 0.417
Tb 0.743 0.250 0.916
Nd 0.262 0.250 0.917
Nd 0.738 0.750 0.083
Dy 0.499 0.250 0.255
Dy 0.501 0.750 0.745

Peak list (10 most intense, 10° ≤ 2θ ≤ 90°, by angle)
2θ/deg	intensity
30.94	100
31.01	21
44.34	22
55.11	36
61.34	17
64.62	8
73.34	10
78.82	8
87.07	7
89.96	11

***

This entry pairs a crystal structure of HoThGa6 with its calculated XRD peak list. Radiation: Cu Kα (λ = 1.5418 Å). Structure: a DFT-relaxed cell (GGA-PBE, Alexandria).

Atomic structure:
Lattice parameters (Å, degrees): 6.358 6.358 4.618 90.00 90.00 120.00
Fractional positions:
Ho 0.000 0.000 0.000
Th 0.333 0.667 0.500
Ga 0.371 0.186 0.500
Ga 0.524 0.048 0.000
Ga 0.524 0.476 0.000
Ga 0.814 0.186 0.500
Ga 0.814 0.629 0.500
Ga 0.952 0.476 0.000

Peak list (10 most intense, 10° ≤ 2θ ≤ 90°, by angle)
2θ/deg	intensity
25.17	37
28.07	16
32.52	26
38.05	100
39.01	22
51.67	14
58.03	16
70.03	16
71.52	12
72.15	17

***

This entry pairs a crystal structure of PdBrCl with its calculated XRD peak list. Radiation: Cu Kα (λ = 1.5418 Å). Structure: a DFT-relaxed cell (GGA-PBE, Alexandria).

Atomic structure:
Lattice parameters (Å, degrees): 3.501 8.877 12.009 90.00 90.00 90.00
Fractional positions:
Pd 0.002 0.074 0.109
Pd 0.498 0.926 0.609
Pd 0.502 0.426 0.891
Pd 0.998 0.574 0.391
Br 0.002 0.303 0.781
Br 0.498 0.697 0.281
Br 0.502 0.197 0.219
Br 0.998 0.803 0.719
Cl 0.002 0.539 0.991
Cl 0.498 0.461 0.491
Cl 0.502 0.961 0.009
Cl 0.998 0.039 0.509

Peak list (10 most intense, 10° ≤ 2θ ≤ 90°, by angle)
2θ/deg	intensity
12.40	35
17.83	100
21.34	59
24.39	22
24.95	41
33.44	36
34.02	41
42.75	27
47.01	28
48.57	26